Computed powder XRD pattern
Compound: Cr3NiSn8
Radiation: Cu Kα X-rays
Structure: a crystal structure in the Materials Project, relaxed with PBE
Kinematic intensities with the Lorentz-polarization factor, no thermal factor.

Structural model:
```
data_Cr3NiSn8
_chemical_formula_sum 'Cr6 Ni2 Sn16'
_space_group_name_H-M_alt 'C 2 2 2'
_space_group_IT_number 21
_cell_length_a 5.480
_cell_length_b 9.595
_cell_length_c 9.365
_cell_angle_alpha 90.00
_cell_angle_beta 90.00
_cell_angle_gamma 90.00
loop_
_space_group_symop_operation_xyz
'x,y,z'
'-x,-y,z'
'x,-y,-z'
'-x,y,-z'
'x+1/2,y+1/2,z'
'-x+1/2,-y+1/2,z'
'x+1/2,-y+1/2,-z'
'-x+1/2,y+1/2,-z'
loop_
_atom_site_label
_atom_site_type_symbol
_atom_site_fract_x
_atom_site_fract_y
_atom_site_fract_z
Cr1 Cr 0.000 0.000 0.000
Cr2 Cr 0.000 0.000 0.500
Cr3 Cr 0.000 0.500 0.000
Ni1 Ni 0.000 0.500 0.500
Sn1 Sn 0.250 0.088 0.748
Sn2 Sn 0.250 0.250 0.088
Sn3 Sn 0.250 0.250 0.416
```

Largest 8 diffraction maxima, in order of falling intensity, 5 to 70 degrees two-theta:
hkl	two_theta	I_rel
1 3 1	33.83	100
1 1 3	34.36	97
2 2 2	42.63	44
2 0 0	32.68	28
0 4 2	42.34	28
0 2 4	42.99	25
3 3 1	59.07	21
3 1 3	59.41	21

=====

Computed powder XRD pattern
Compound: TaCrNi
Radiation: Cu Kα X-rays
Structure: a crystal structure in the Materials Project, relaxed with PBE
Kinematic intensities with the Lorentz-polarization factor, no thermal factor.

Structural model:
```
data_TaCrNi
_chemical_formula_sum 'Ta8 Cr8 Ni8'
_space_group_name_H-M_alt 'A m m 2'
_space_group_IT_number 38
_cell_length_a 7.878
_cell_length_b 4.796
_cell_length_c 8.573
_cell_angle_alpha 90.00
_cell_angle_beta 90.00
_cell_angle_gamma 90.00
loop_
_space_group_symop_operation_xyz
'x,y,z'
'-x,-y,z'
'-x,y,z'
'x,-y,z'
'x,y+1/2,z+1/2'
'-x,-y+1/2,z+1/2'
'-x,y+1/2,z+1/2'
'x,-y+1/2,z+1/2'
loop_
_atom_site_label
_atom_site_type_symbol
_atom_site_fract_x
_atom_site_fract_y
_atom_site_fract_z
Ta1 Ta 0.188 0.000 0.000
Ta2 Ta 0.312 0.000 0.328
Cr1 Cr 0.251 0.000 0.662
Cr2 Cr 0.500 0.249 0.081
Ni1 Ni 0.000 0.000 0.495
Ni2 Ni 0.000 0.247 0.247
Ni3 Ni 0.500 0.000 0.837
```

Largest 8 diffraction maxima, in order of falling intensity, 5 to 70 degrees two-theta:
hkl	two_theta	I_rel
3 1 1	40.56	100
2 1 3	43.44	99
0 1 3	36.61	69
3 0 2	40.28	51
1 2 2	44.81	49
2 2 0	44.22	44
0 2 0	37.51	34
1 0 4	43.77	26

=====

Computed powder XRD pattern
Compound: UCrNi
Radiation: Cu Kα X-rays
Structure: a crystal structure in the Materials Project, relaxed with PBE
Kinematic intensities with the Lorentz-polarization factor, no thermal factor.

Structural model:
```
data_UCrNi
_chemical_formula_sum 'U4 Cr4 Ni4'
_space_group_name_H-M_alt 'I m m a'
_space_group_IT_number 74
_space_group_name_Hall '-I 2b 2'
_cell_length_a 4.881
_cell_length_b 4.893
_cell_length_c 7.479
_cell_angle_alpha 90.00
_cell_angle_beta 90.00
_cell_angle_gamma 90.00
loop_
_atom_site_label
_atom_site_type_symbol
_atom_site_fract_x
_atom_site_fract_y
_atom_site_fract_z
U1 U 0.000 0.250 0.128
Cr1 Cr 0.000 0.000 0.500
Ni1 Ni 0.250 0.250 0.750
```

Largest 8 diffraction maxima, in order of falling intensity, 5 to 70 degrees two-theta:
hkl	two_theta	I_rel
2 1 1	43.12	100
1 1 2	35.37	92
1 0 3	40.63	59
1 0 1	21.72	58
0 2 0	36.78	42
0 1 5	65.25	31
2 0 4	62.56	18
3 1 2	65.39	16

=====

Computed powder XRD pattern
Compound: V2CrOs
Radiation: Cu Kα X-rays
Structure: a crystal structure in the Materials Project, relaxed with PBE
Kinematic intensities with the Lorentz-polarization factor, no thermal factor.

Structural model:
```
data_V2CrOs
_chemical_formula_sum 'V8 Cr4 Os4'
_space_group_name_H-M_alt 'F m -3 m'
_space_group_IT_number 225
_space_group_name_Hall '-F 4 2 3'
_cell_length_a 5.946
_cell_length_b 5.946
_cell_length_c 5.946
_cell_angle_alpha 90.00
_cell_angle_beta 90.00
_cell_angle_gamma 90.00
loop_
_atom_site_label
_atom_site_type_symbol
_atom_site_fract_x
_atom_site_fract_y
_atom_site_fract_z
V1 V 0.250 0.250 0.250
Cr1 Cr 0.000 0.000 0.000
Os1 Os 0.000 0.000 0.500
```

Largest 7 diffraction maxima, in order of falling intensity, 5 to 70 degrees two-theta:
hkl	two_theta	I_rel
2 2 0	43.03	100
1 1 1	25.96	38
2 0 0	30.06	22
3 1 1	50.94	20
4 0 0	62.48	16
3 3 1	68.83	9
2 2 2	53.38	6